Structure and calculated X-ray diffraction stick pattern of Er2Co3B6 (a crystal structure in Alexandria, relaxed with GGA-PBE; Cu Kα (λ = 1.5418 Å)).

Largest 12 diffraction maxima, in order of rising 2θ, 10 to 80 degrees two-theta:
| d_spacing | I/Imax |
| --- | --- |
| 3.827 | 26 |
| 3.468 | 40 |
| 2.847 | 52 |
| 2.690 | 23 |
| 2.664 | 20 |
| 2.201 | 100 |
| 2.131 | 16 |
| 1.913 | 16 |
| 1.816 | 11 |
| 1.734 | 15 |
| 1.481 | 14 |
| 1.312 | 11 |

Structural model:
a = 5.728 Å, b = 5.728 Å, c = 3.468 Å
α = 90.00°, β = 90.00°, γ = 96.17°
Positions (direct):
Er: 0.221 0.779 0.000
Er: 0.779 0.221 0.000
Co: 0.278 0.278 0.000
Co: 0.500 0.500 0.500
Co: 0.722 0.722 0.000
B: 0.112 0.112 0.500
B: 0.121 0.416 0.500
B: 0.416 0.121 0.500
B: 0.584 0.879 0.500
B: 0.879 0.584 0.500
B: 0.888 0.888 0.500


Structure and calculated X-ray diffraction stick pattern of SbSeS6 (a crystal structure in Alexandria, relaxed with GGA-PBE; Cu Kα (λ = 1.5418 Å)).

Largest 12 diffraction maxima, in order of rising 2θ, 10 to 80 degrees two-theta:
| d_spacing | I/Imax |
| --- | --- |
| 7.783 | 100 |
| 5.533 | 39 |
| 5.475 | 64 |
| 3.897 | 43 |
| 3.673 | 21 |
| 3.496 | 25 |
| 3.468 | 19 |
| 3.189 | 18 |
| 2.832 | 51 |
| 2.767 | 32 |
| 2.599 | 45 |
| 2.404 | 19 |

Structural model:
a = 11.116 Å, b = 11.066 Å, c = 3.961 Å
α = 90.00°, β = 99.92°, γ = 90.00°
Positions (direct):
Sb: 0.000 0.000 0.000
Sb: 0.500 0.500 0.000
Se: 0.358 0.000 0.071
Se: 0.858 0.500 0.071
S: 0.063 0.231 0.105
S: 0.063 0.769 0.105
S: 0.188 0.000 0.687
S: 0.357 0.500 0.455
S: 0.460 0.187 0.388
S: 0.460 0.813 0.388
S: 0.563 0.269 0.105
S: 0.563 0.731 0.105
S: 0.688 0.500 0.687
S: 0.857 0.000 0.455
S: 0.960 0.313 0.388
S: 0.960 0.687 0.388